Record 1
Diffraction record for Li3Mn4O8. The powder XRD pattern is computed, not measured: it uses DFT lattice parameters and positions (GGA+U) and CuKα.
Kinematic intensities with the Lorentz-polarization factor, no thermal factor.

Cell and atoms:
abc: 8.713 5.721 13.014
angles: 90.00 93.04 90.00
Element x y z (fractional)
1 Li 0.006 0.000 0.180
2 Li 0.035 0.492 0.212
3 Li 0.040 0.039 0.975
4 Li 0.421 0.497 0.542
5 Li 0.466 0.258 0.299
6 Li 0.467 0.735 0.301
7 Li 0.533 0.235 0.699
8 Li 0.534 0.758 0.701
9 Li 0.579 0.997 0.458
10 Li 0.960 0.539 0.025
11 Li 0.965 0.992 0.788
12 Li 0.994 0.500 0.820
13 Mn 0.164 0.496 0.660
14 Mn 0.173 0.994 0.653
15 Mn 0.207 0.246 0.404
16 Mn 0.209 0.748 0.404
17 Mn 0.286 0.496 0.092
18 Mn 0.288 0.997 0.097
19 Mn 0.335 0.248 0.840
20 Mn 0.336 0.752 0.844
21 Mn 0.664 0.252 0.156
22 Mn 0.665 0.748 0.160
23 Mn 0.712 0.497 0.903
24 Mn 0.714 0.996 0.908
25 Mn 0.791 0.248 0.596
26 Mn 0.793 0.746 0.596
27 Mn 0.827 0.494 0.347
28 Mn 0.836 0.996 0.340
29 O 0.059 0.996 0.375
30 O 0.069 0.500 0.369
31 O 0.123 0.748 0.753
32 O 0.127 0.248 0.100
33 O 0.129 0.746 0.100
34 O 0.131 0.249 0.764
35 O 0.227 0.255 0.568
36 O 0.229 0.731 0.566
37 O 0.275 0.011 0.934
38 O 0.286 0.497 0.930
39 O 0.361 0.496 0.392
40 O 0.362 0.998 0.388
41 O 0.372 0.493 0.733
42 O 0.382 0.998 0.746
43 O 0.423 0.246 0.134
44 O 0.432 0.747 0.133
45 O 0.568 0.247 0.867
46 O 0.577 0.746 0.866
47 O 0.618 0.498 0.254
48 O 0.628 0.993 0.267
49 O 0.638 0.498 0.612
50 O 0.639 0.996 0.608
51 O 0.714 0.997 0.070
52 O 0.725 0.511 0.066
53 O 0.771 0.231 0.434
54 O 0.773 0.755 0.432
55 O 0.869 0.749 0.236
56 O 0.871 0.246 0.900
57 O 0.873 0.748 0.900
58 O 0.877 0.248 0.247
59 O 0.931 0.000 0.631
60 O 0.941 0.496 0.625

Main lines, in order of rising 2θ (15 to 90 degrees two-theta):
(2 0 0), 20.4°, intensity 96
(1 0 -3), 22.4°, intensity 100
(0 0 4), 27.5°, intensity 67
(2 0 4), 35.3°, intensity 29
(1 2 2), 36.0°, intensity 46
(2 2 -1), 38.1°, intensity 39
(3 2 2), 47.3°, intensity 28
(2 2 -5), 51.2°, intensity 39
(4 2 -1), 53.1°, intensity 46
(3 2 6), 63.9°, intensity 27

***

Record 2
Diffraction record for LiV2O3F3. The powder XRD pattern is computed, not measured: it uses DFT lattice parameters and positions (GGA+U) and CuKα.
Kinematic intensities with the Lorentz-polarization factor, no thermal factor.

Cell and atoms:
abc: 5.104 5.144 5.301
angles: 92.49 116.43 118.10
Element x y z (fractional)
1 Li 0.000 0.000 0.000
2 V 0.412 0.676 0.184
3 V 0.421 0.205 0.657
4 O 0.312 0.438 0.387
5 O 0.315 0.335 0.895
6 O 0.489 0.030 0.409
7 F 0.562 0.953 0.929
8 F 0.913 0.836 0.403
9 F 0.927 0.582 0.902

Main lines, in order of rising 2θ (15 to 90 degrees two-theta):
(1 0 0), 23.3°, intensity 98
(0 1 -1), 23.6°, intensity 99
(-1 1 1), 24.7°, intensity 100
(1 -1 1), 32.7°, intensity 22
(0 1 1), 33.1°, intensity 22
(1 0 -2), 34.0°, intensity 31
(2 0 0), 47.6°, intensity 24
(0 2 -2), 48.3°, intensity 20
(-2 2 2), 50.7°, intensity 18
(2 -1 1), 52.9°, intensity 17

***

Repeat the first record exactly.
Diffraction record for Li3Mn4O8. The powder XRD pattern is computed, not measured: it uses DFT lattice parameters and positions (GGA+U) and CuKα.
Kinematic intensities with the Lorentz-polarization factor, no thermal factor.

Cell and atoms:
abc: 8.713 5.721 13.014
angles: 90.00 93.04 90.00
Element x y z (fractional)
1 Li 0.006 0.000 0.180
2 Li 0.035 0.492 0.212
3 Li 0.040 0.039 0.975
4 Li 0.421 0.497 0.542
5 Li 0.466 0.258 0.299
6 Li 0.467 0.735 0.301
7 Li 0.533 0.235 0.699
8 Li 0.534 0.758 0.701
9 Li 0.579 0.997 0.458
10 Li 0.960 0.539 0.025
11 Li 0.965 0.992 0.788
12 Li 0.994 0.500 0.820
13 Mn 0.164 0.496 0.660
14 Mn 0.173 0.994 0.653
15 Mn 0.207 0.246 0.404
16 Mn 0.209 0.748 0.404
17 Mn 0.286 0.496 0.092
18 Mn 0.288 0.997 0.097
19 Mn 0.335 0.248 0.840
20 Mn 0.336 0.752 0.844
21 Mn 0.664 0.252 0.156
22 Mn 0.665 0.748 0.160
23 Mn 0.712 0.497 0.903
24 Mn 0.714 0.996 0.908
25 Mn 0.791 0.248 0.596
26 Mn 0.793 0.746 0.596
27 Mn 0.827 0.494 0.347
28 Mn 0.836 0.996 0.340
29 O 0.059 0.996 0.375
30 O 0.069 0.500 0.369
31 O 0.123 0.748 0.753
32 O 0.127 0.248 0.100
33 O 0.129 0.746 0.100
34 O 0.131 0.249 0.764
35 O 0.227 0.255 0.568
36 O 0.229 0.731 0.566
37 O 0.275 0.011 0.934
38 O 0.286 0.497 0.930
39 O 0.361 0.496 0.392
40 O 0.362 0.998 0.388
41 O 0.372 0.493 0.733
42 O 0.382 0.998 0.746
43 O 0.423 0.246 0.134
44 O 0.432 0.747 0.133
45 O 0.568 0.247 0.867
46 O 0.577 0.746 0.866
47 O 0.618 0.498 0.254
48 O 0.628 0.993 0.267
49 O 0.638 0.498 0.612
50 O 0.639 0.996 0.608
51 O 0.714 0.997 0.070
52 O 0.725 0.511 0.066
53 O 0.771 0.231 0.434
54 O 0.773 0.755 0.432
55 O 0.869 0.749 0.236
56 O 0.871 0.246 0.900
57 O 0.873 0.748 0.900
58 O 0.877 0.248 0.247
59 O 0.931 0.000 0.631
60 O 0.941 0.496 0.625

Main lines, in order of rising 2θ (15 to 90 degrees two-theta):
(2 0 0), 20.4°, intensity 96
(1 0 -3), 22.4°, intensity 100
(0 0 4), 27.5°, intensity 67
(2 0 4), 35.3°, intensity 29
(1 2 2), 36.0°, intensity 46
(2 2 -1), 38.1°, intensity 39
(3 2 2), 47.3°, intensity 28
(2 2 -5), 51.2°, intensity 39
(4 2 -1), 53.1°, intensity 46
(3 2 6), 63.9°, intensity 27